Simulated powder diffraction line list of MgFe4P4O16 for Cu Kα X-rays, from the GGA+U geometry in Alexandria.
Intensities are scaled so that the largest is 100.

Structure:
a = 5.197 Å, b = 8.543 Å, c = 8.872 Å
α = 87.33°, β = 88.20°, γ = 75.73°
Atoms (fractional coordinates):
Mg (0.000, 0.000, 0.000)
Fe (0.109, 0.649, 0.041)
Fe (0.467, 0.812, 0.519)
Fe (0.533, 0.188, 0.481)
Fe (0.891, 0.351, 0.959)
P (0.090, 0.193, 0.645)
P (0.394, 0.245, 0.124)
P (0.606, 0.755, 0.876)
P (0.910, 0.807, 0.355)
O (0.037, 0.163, 0.814)
O (0.172, 0.756, 0.440)
O (0.230, 0.122, 0.108)
O (0.234, 0.408, 0.044)
O (0.258, 0.319, 0.616)
O (0.280, 0.040, 0.573)
O (0.327, 0.801, 0.954)
O (0.429, 0.281, 0.290)
O (0.571, 0.719, 0.710)
O (0.673, 0.199, 0.046)
O (0.720, 0.960, 0.427)
O (0.742, 0.681, 0.384)
O (0.766, 0.592, 0.956)
O (0.770, 0.878, 0.892)
O (0.828, 0.244, 0.560)
O (0.963, 0.837, 0.186)

Most intense lines, 10° ≤ 2θ ≤ 90°, in order of falling intensity:
(0 0 2), 2θ = 20.05°, I 100
(1 1 1), 2θ = 20.45°, I 77
(0 2 0), 2θ = 21.48°, I 70
(0 1 -1), 2θ = 14.94°, I 29
(1 -1 2), 2θ = 30.56°, I 29
(1 1 -1), 2θ = 21.22°, I 23
(1 -1 1), 2θ = 24.96°, I 22
(2 2 0), 2θ = 36.96°, I 20
(1 0 2), 2θ = 26.52°, I 18
(0 1 0), 2θ = 10.69°, I 18